For NiAgF6, the GGA+U geometry in Alexandria gives the computed powder diffraction line list in this record (Cu Ka).
Peak positions follow from Bragg's law for the DFT cell and can differ from measured ones.

```
data_NiAgF6
_chemical_formula_sum 'Ni2 Ag2 F12'
_cell_length_a 5.167
_cell_length_b 5.457
_cell_length_c 9.150
_cell_angle_alpha 90.00
_cell_angle_beta 124.36
_cell_angle_gamma 90.00
_space_group_name_H-M_alt 'P 1 21/c 1'
_space_group_IT_number 14
loop_
_space_group_symop_operation_xyz
'x,y,z'
'-x,-y,-z'
'-x,y+1/2,-z+1/2'
'x,-y+1/2,z+1/2'
loop_
_atom_site_label
_atom_site_type_symbol
_atom_site_fract_x
_atom_site_fract_y
_atom_site_fract_z
_atom_site_occupancy
Ni1 Ni 0.000 0.000 0.000 1
Ag1 Ag 0.500 0.000 0.500 1
F1 F 0.113 0.033 0.245 1
F2 F 0.239 0.694 0.065 1
F3 F 0.380 0.182 0.064 1
```

Top 12 peaks for 10 to 80 degrees two-theta, by angle:
23.6°, intensity 51.8, (0 0 2)
23.7°, intensity 100.0, (1 1 -1)
32.8°, intensity 14.6, (0 2 0)
33.7°, intensity 44.4, (1 1 1)
42.4°, intensity 12.5, (2 0 0)
48.5°, intensity 16.1, (2 2 -2)
53.4°, intensity 14.1, (1 3 -1)
54.4°, intensity 21.2, (1 1 -5)
54.6°, intensity 21.7, (2 2 0)
59.1°, intensity 12.6, (1 3 1)
59.5°, intensity 8.7, (0 2 4)
61.6°, intensity 17.2, (3 1 -1)